# 1
# MnAl2Te4
Computed powder diffractogram, Cu Kα X-rays. Input: a crystal structure in the Materials Project, relaxed with PBE.
Lines closer than 0.1° are merged.

The 10 most intense peaks (2θ from 10° to 90°), sorted by position:
25.34°, intensity 100
28.32°, intensity 11
29.84°, intensity 18
41.60°, intensity 37
42.70°, intensity 16
48.36°, intensity 17
50.31°, intensity 28
52.03°, intensity 7
66.46°, intensity 12
77.43°, intensity 10

Structural model:
a b c (Å): 7.5938 7.5938 7.5938
angles (deg): 133.55 133.55 67.79
Element x y z (fractional)
Mn1 0.0000 0.0000 0.0000
Al1 0.2500 0.7500 0.5000
Al2 0.7500 0.2500 0.5000
Te1 0.1450 0.1450 0.5339
Te2 0.3888 0.8550 0.0000
Te3 0.6112 0.6112 0.4661
Te4 0.8550 0.3888 0.0000



# 2
# U2CoSi3
Computed powder diffractogram, Cu Kα X-rays. Input: a crystal structure in the Materials Project, relaxed with PBE.
Lines closer than 0.1° are merged.

The 10 most intense peaks (2θ from 10° to 90°), sorted by position:
23.88°, intensity 21
25.63°, intensity 58
25.85°, intensity 27
35.32°, intensity 100
35.48°, intensity 50
45.05°, intensity 17
45.45°, intensity 32
56.01°, intensity 15
58.62°, intensity 24
68.97°, intensity 19

Structural model:
a b c (Å): 3.7256 4.0246 6.8931
angles (deg): 90.00 90.00 90.00
Element x y z (fractional)
U1 0.0000 0.0000 0.0000
U2 0.0000 0.5000 0.4837
Co1 0.5000 0.0000 0.3197
Si1 0.5000 0.0000 0.6515
Si2 0.5000 0.5000 0.1626
Si3 0.5000 0.5000 0.8243



# 3
# LiCuPO4
Computed powder diffractogram, Cu Kα X-rays. Input: a crystal structure in the Materials Project, relaxed with PBE.
Lines closer than 0.1° are merged.

The 10 most intense peaks (2θ from 10° to 90°), sorted by position:
17.56°, intensity 45
20.69°, intensity 58
25.46°, intensity 100
29.59°, intensity 67
32.62°, intensity 31
35.93°, intensity 98
36.38°, intensity 28
38.64°, intensity 21
52.30°, intensity 37
56.73°, intensity 44

Structural model:
a b c (Å): 10.1022 6.0376 4.7417
angles (deg): 90.00 90.00 90.00
Element x y z (fractional)
Li1 0.0000 0.0000 0.0000
Li2 0.0000 0.5000 0.0000
Li3 0.5000 0.0000 0.5000
Li4 0.5000 0.5000 0.5000
Cu1 0.2181 0.2500 0.4776
Cu2 0.2819 0.7500 0.9776
Cu3 0.7181 0.2500 0.0224
Cu4 0.7819 0.7500 0.5224
P1 0.0962 0.7500 0.4251
P2 0.4038 0.2500 0.9251
P3 0.5962 0.7500 0.0749
P4 0.9038 0.2500 0.5749
O1 0.0474 0.2500 0.6983
O2 0.0989 0.7500 0.7498
O3 0.1668 0.5450 0.2876
O4 0.1668 0.9550 0.2876
O5 0.3332 0.0450 0.7876
O6 0.3332 0.4550 0.7876
O7 0.4011 0.2500 0.2498
O8 0.4526 0.7500 0.1983
O9 0.5474 0.2500 0.8017
O10 0.5989 0.7500 0.7502
O11 0.6668 0.5450 0.2124
O12 0.6668 0.9550 0.2124
O13 0.8332 0.0450 0.7124
O14 0.8332 0.4550 0.7124
O15 0.9011 0.2500 0.2502
O16 0.9526 0.7500 0.3017



Question: Which formula does entry 2 have?
Answer: U2CoSi3



Question: Number 1 is which compound?
Answer: MnAl2Te4